Record 1
Sm8Mg2Ag: simulated X-ray diffraction stick pattern (Cu Kα X-rays), based on a crystal structure in Alexandria, relaxed with PBE.
Neutral-atom scattering factors, no anomalous dispersion.

Structural model:
```
data_Sm8Mg2Ag
_space_group_name_H-M_alt 'C 1 2/m 1'
_space_group_IT_number 12
_space_group_name_Hall '-C 2y'
_cell_length_a 18.2060
_cell_length_b 5.4329
_cell_length_c 7.1310
_cell_angle_alpha 90.00
_cell_angle_beta 106.14
_cell_angle_gamma 90.00
loop_
_atom_site_label
_atom_site_fract_x
_atom_site_fract_y
_atom_site_fract_z
Sm1 0.0210 0.0000 0.2668
Sm2 0.0941 0.5000 0.9483
Sm3 0.1582 0.5000 0.4493
Sm4 0.1935 0.0000 0.7725
Mg1 0.1894 0.0000 0.2113
Ag1 0.0000 0.5000 0.5000
```

Largest 10 diffraction maxima, in order of rising 2θ, 2θ = 10–90°:
2theta	d/Å	I/Imax	(hkl)
22.35	3.978	19	1 1 1
28.01	3.186	27	3 1 1
29.79	2.999	18	6 0 -1
30.11	2.968	100	5 1 -1
30.39	2.941	41	5 1 0
32.49	2.756	78	1 1 2
32.97	2.716	65	0 2 0
35.27	2.544	26	5 1 -2
57.12	1.613	16	5 3 -1
64.79	1.439	18	7 1 3

Record 2
SmMgZn2Ag2: simulated X-ray diffraction stick pattern (Cu Kα X-rays), based on a crystal structure in Alexandria, relaxed with PBE.
Neutral-atom scattering factors, no anomalous dispersion.

Structural model:
```
data_SmMgZn2Ag2
_space_group_name_H-M_alt 'P -3 m 1'
_space_group_IT_number 164
_space_group_name_Hall '-P 3 2"'
_cell_length_a 4.5770
_cell_length_b 4.5770
_cell_length_c 6.7001
_cell_angle_alpha 90.00
_cell_angle_beta 90.00
_cell_angle_gamma 120.00
loop_
_atom_site_label
_atom_site_fract_x
_atom_site_fract_y
_atom_site_fract_z
Sm1 0.0000 0.0000 0.0000
Mg1 0.0000 0.0000 0.5000
Zn1 0.3333 0.6667 0.7272
Ag1 0.3333 0.6667 0.2914
```

Largest 10 diffraction maxima, in order of rising 2θ, 2θ = 10–90°:
2theta	d/Å	I/Imax	(hkl)
26.12	3.411	55	0 1 1
35.07	2.559	100	1 0 2
39.37	2.288	89	1 1 0
40.39	2.233	11	0 0 3
47.86	1.900	11	2 0 1
53.74	1.706	29	0 2 2
57.67	1.598	22	1 1 3
68.62	1.368	27	2 1 2
69.55	1.352	18	1 1 4
71.39	1.321	14	3 0 0

Record 3
Mg6Ag2Sn3: simulated X-ray diffraction stick pattern (Cu Kα X-rays), based on a crystal structure in Alexandria, relaxed with PBE.
Neutral-atom scattering factors, no anomalous dispersion.

Structural model:
```
data_Mg6Ag2Sn3
_space_group_name_H-M_alt 'I 4/m m m'
_space_group_IT_number 139
_space_group_name_Hall '-I 4 2'
_cell_length_a 4.3305
_cell_length_b 4.3305
_cell_length_c 28.0125
_cell_angle_alpha 90.00
_cell_angle_beta 90.00
_cell_angle_gamma 90.00
loop_
_atom_site_label
_atom_site_fract_x
_atom_site_fract_y
_atom_site_fract_z
Mg1 0.0000 0.0000 0.2279
Mg2 0.0000 0.5000 0.0708
Ag1 0.0000 0.0000 0.1327
Sn1 0.0000 0.0000 0.3349
Sn2 0.0000 0.0000 0.5000
```

Largest 10 diffraction maxima, in order of rising 2θ, 2θ = 10–90°:
2theta	d/Å	I/Imax	(hkl)
12.64	7.003	52	0 0 4
19.01	4.669	42	0 0 6
26.01	3.426	91	1 0 5
29.16	3.062	99	1 1 0
35.05	2.561	100	1 1 6
39.08	2.305	37	1 1 8
41.12	2.195	65	1 0 11
41.71	2.165	72	2 0 0
49.82	1.830	31	2 1 5
60.02	1.541	45	2 1 11

- Which formula does entry 2 have?
  SmMgZn2Ag2